# 1
Diffraction record for AgHg2GeO4. The PXRD pattern is calculated, not measured: it uses a PBE-relaxed structure and Cu Kα, 1.54184 Å.

Largest 12 diffraction maxima, in order of rising 2θ, 5 to 70 degrees two-theta:
| d [Å] | two_theta | intensity |
| --- | --- | --- |
| 4.806 | 18.46 | 8 |
| 3.724 | 23.90 | 10 |
| 2.944 | 30.37 | 100 |
| 2.633 | 34.05 | 30 |
| 2.403 | 37.42 | 12 |
| 2.309 | 39.00 | 8 |
| 2.019 | 44.89 | 5 |
| 1.862 | 48.92 | 15 |
| 1.775 | 51.49 | 26 |
| 1.574 | 58.67 | 30 |
| 1.472 | 63.18 | 23 |
| 1.369 | 68.56 | 4 |

Structural model:
```
AgHg2GeO4
1.0
0.000 3.724 4.806
3.724 0.000 4.806
3.724 3.724 0.000
Ag Hg Ge O
1 2 1 4
Cartesian
0.000 0.000 0.000
1.862 1.862 2.395
5.585 5.586 7.201
3.724 3.724 4.797
5.216 3.724 3.787
3.724 2.233 5.807
2.231 3.724 3.787
3.724 5.215 5.807
```

=====

# 2
Diffraction record for MnRe2BAu. The PXRD pattern is calculated, not measured: it uses a PBE-relaxed structure and Cu Kα, 1.54184 Å.

Largest 12 diffraction maxima, in order of rising 2θ, 5 to 70 degrees two-theta:
| d [Å] | two_theta | intensity |
| --- | --- | --- |
| 4.957 | 17.89 | 52 |
| 4.810 | 18.44 | 100 |
| 3.452 | 25.81 | 16 |
| 2.833 | 31.58 | 24 |
| 2.479 | 36.24 | 61 |
| 2.405 | 37.39 | 28 |
| 2.217 | 40.70 | 14 |
| 2.203 | 40.96 | 56 |
| 1.753 | 52.19 | 22 |
| 1.726 | 53.05 | 41 |
| 1.647 | 55.83 | 23 |
| 1.417 | 65.94 | 21 |

Structural model:
```
MnRe2BAu
1.0
4.957 0.000 0.000
0.000 4.957 0.000
0.000 0.000 4.810
Mn Re B Au
1 2 1 1
Cartesian
0.000 0.000 0.000
0.000 2.479 2.405
2.479 0.000 2.405
2.479 2.479 0.000
0.000 0.000 2.405
```

=====

# 3
Diffraction record for KSn2Pb10. The PXRD pattern is calculated, not measured: it uses a PBE-relaxed structure and Cu Kα, 1.54184 Å.

Largest 12 diffraction maxima, in order of rising 2θ, 5 to 70 degrees two-theta:
| d [Å] | two_theta | intensity |
| --- | --- | --- |
| 8.177 | 10.82 | 28 |
| 5.659 | 15.66 | 22 |
| 3.310 | 26.94 | 34 |
| 2.881 | 31.04 | 100 |
| 2.865 | 31.22 | 47 |
| 2.829 | 31.62 | 54 |
| 2.586 | 34.69 | 29 |
| 2.574 | 34.86 | 59 |
| 2.568 | 34.95 | 34 |
| 2.541 | 35.33 | 97 |
| 1.793 | 50.93 | 24 |
| 1.655 | 55.53 | 30 |

Structural model:
```
KSn2Pb10
1.0
0.000 8.138 8.182
3.247 0.000 8.182
3.247 8.138 0.000
K Sn Pb
1 2 10
Cartesian
0.000 0.000 0.000
1.623 4.069 0.000
1.623 4.069 8.182
1.623 0.000 4.091
3.247 2.908 5.326
3.247 6.346 6.432
3.247 2.908 11.038
3.247 6.346 9.933
1.623 8.138 4.091
3.247 9.931 6.432
3.247 13.368 5.326
3.247 9.931 9.933
3.247 13.368 11.038
```

=====

# 4
Diffraction record for SrTl5Br7. The PXRD pattern is calculated, not measured: it uses a PBE-relaxed structure and Cu Kα, 1.54184 Å.

Largest 12 diffraction maxima, in order of rising 2θ, 5 to 70 degrees two-theta:
| d [Å] | two_theta | intensity |
| --- | --- | --- |
| 13.895 | 6.36 | 47 |
| 4.019 | 22.12 | 82 |
| 3.564 | 24.98 | 40 |
| 3.401 | 26.20 | 62 |
| 3.329 | 26.78 | 100 |
| 3.215 | 27.74 | 100 |
| 3.192 | 27.95 | 62 |
| 2.505 | 35.85 | 47 |
| 2.427 | 37.04 | 46 |
| 2.367 | 38.02 | 48 |
| 2.331 | 38.62 | 65 |
| 2.220 | 40.64 | 48 |

Structural model:
```
SrTl5Br7
1.0
8.094 -2.220 0.000
8.094 2.220 0.000
-0.019 0.000 27.790
Sr Tl Br
2 10 14
Cartesian
0.000 0.000 0.000
9.494 0.000 13.904
1.171 0.000 9.002
1.211 0.000 18.857
3.981 0.000 2.805
4.021 0.000 25.065
5.462 0.000 11.170
5.501 0.000 16.699
8.270 0.000 4.961
8.313 0.000 22.895
12.805 0.000 6.999
12.864 0.000 20.891
0.038 0.000 12.083
0.073 0.000 15.770
2.520 0.000 5.837
2.561 0.000 22.024
3.569 0.000 13.940
5.925 0.000 0.045
6.922 0.000 8.131
6.960 0.000 19.732
9.414 0.000 1.873
9.445 0.000 25.976
11.451 0.000 10.181
11.529 0.000 17.767
14.137 0.000 3.879
14.223 0.000 24.079
```

=====

# 5
Diffraction record for Mg2Zn7Pd. The PXRD pattern is calculated, not measured: it uses a PBE-relaxed structure and Cu Kα, 1.54184 Å.

Largest 12 diffraction maxima, in order of rising 2θ, 5 to 70 degrees two-theta:
| d [Å] | two_theta | intensity |
| --- | --- | --- |
| 5.487 | 16.15 | 2 |
| 4.752 | 18.67 | 100 |
| 3.360 | 26.53 | 9 |
| 2.865 | 31.21 | 2 |
| 2.744 | 32.64 | 41 |
| 2.376 | 37.87 | 99 |
| 2.125 | 42.54 | 48 |
| 1.940 | 46.83 | 4 |
| 1.680 | 54.63 | 65 |
| 1.584 | 58.25 | 23 |
| 1.433 | 65.10 | 15 |
| 1.372 | 68.39 | 21 |

Structural model:
```
Mg2Zn7Pd
1.0
0.000 4.752 4.752
4.752 0.000 4.752
4.752 4.752 0.000
Mg Zn Pd
2 7 1
Cartesian
2.376 2.376 2.376
7.128 7.128 7.128
0.000 0.000 0.000
4.752 4.752 2.352
4.752 2.352 4.752
7.152 4.752 4.752
2.352 4.752 4.752
4.752 7.152 4.752
4.752 4.752 7.152
4.752 4.752 4.752
```

=====

# 6
Diffraction record for Pr5NdSm8. The PXRD pattern is calculated, not measured: it uses a PBE-relaxed structure and Cu Kα, 1.54184 Å.

Largest 12 diffraction maxima, in order of rising 2θ, 5 to 70 degrees two-theta:
| d [Å] | two_theta | intensity |
| --- | --- | --- |
| 3.270 | 27.27 | 63 |
| 3.102 | 28.78 | 67 |
| 3.083 | 28.96 | 81 |
| 2.874 | 31.12 | 25 |
| 2.716 | 32.98 | 100 |
| 2.653 | 33.79 | 45 |
| 2.617 | 34.26 | 51 |
| 1.700 | 53.93 | 19 |
| 1.671 | 54.93 | 20 |
| 1.584 | 58.24 | 15 |
| 1.541 | 60.02 | 19 |
| 1.513 | 61.29 | 22 |

Structural model:
```
Pr5NdSm8
1.0
-4.875 4.875 5.207
4.875 -4.875 5.207
4.875 4.875 -5.207
Pr Nd Sm
5 1 8
Cartesian
0.000 0.000 0.000
2.063 -1.052 4.431
3.822 2.812 0.776
2.812 5.927 -0.776
1.052 2.063 5.984
0.000 4.875 2.604
3.157 -0.702 1.068
4.082 3.109 -2.659
6.592 0.702 1.068
5.577 -1.718 4.140
0.793 1.766 2.549
4.172 1.718 4.140
1.766 -0.793 7.866
3.109 5.667 2.659
```

=====

# 7
Diffraction record for Cd3Hg8Pb2. The PXRD pattern is calculated, not measured: it uses a PBE-relaxed structure and Cu Kα, 1.54184 Å.

Largest 12 diffraction maxima, in order of rising 2θ, 5 to 70 degrees two-theta:
| d [Å] | two_theta | intensity |
| --- | --- | --- |
| 3.078 | 29.01 | 24 |
| 2.896 | 30.87 | 30 |
| 2.877 | 31.09 | 100 |
| 2.788 | 32.10 | 45 |
| 2.749 | 32.57 | 43 |
| 2.652 | 33.80 | 54 |
| 2.623 | 34.19 | 38 |
| 2.427 | 37.04 | 44 |
| 2.407 | 37.36 | 30 |
| 2.344 | 38.40 | 42 |
| 1.952 | 46.53 | 25 |
| 1.429 | 65.30 | 28 |

Structural model:
```
Cd3Hg8Pb2
1.0
10.582 0.000 0.000
0.000 3.292 0.000
-3.586 0.000 10.030
Cd Hg Pb
3 8 2
Cartesian
0.000 0.000 0.000
1.265 1.646 3.439
5.730 1.646 6.590
-2.130 1.646 7.830
-0.359 0.000 5.510
2.770 0.000 1.291
2.582 1.646 6.275
4.414 1.646 3.754
4.225 0.000 8.738
7.355 0.000 4.519
9.125 1.646 2.199
0.729 0.000 8.612
6.266 0.000 1.417
```

=====

# 8
Diffraction record for Ba2Cd2In3. The PXRD pattern is calculated, not measured: it uses a PBE-relaxed structure and Cu Kα, 1.54184 Å.

Largest 12 diffraction maxima, in order of rising 2θ, 5 to 70 degrees two-theta:
| d [Å] | two_theta | intensity |
| --- | --- | --- |
| 3.167 | 28.18 | 73 |
| 3.089 | 28.90 | 100 |
| 2.932 | 30.49 | 17 |
| 2.743 | 32.65 | 25 |
| 2.567 | 34.96 | 46 |
| 2.444 | 36.78 | 41 |
| 2.289 | 39.37 | 14 |
| 1.939 | 46.85 | 15 |
| 1.874 | 48.58 | 16 |
| 1.770 | 51.65 | 30 |
| 1.574 | 58.65 | 19 |
| 1.470 | 63.26 | 16 |

Structural model:
```
Ba2Cd2In3
1.0
2.567 -10.970 0.000
2.567 10.970 0.000
0.000 0.000 8.188
Ba Cd In
4 4 6
Cartesian
2.567 9.709 6.141
2.567 7.448 2.047
2.567 -7.448 6.141
2.567 -9.709 2.047
2.567 4.026 0.522
2.567 4.026 3.572
2.567 -4.026 4.616
2.567 -4.026 7.666
2.567 6.020 6.141
2.567 1.284 4.716
2.567 1.284 7.565
2.567 -1.284 0.623
2.567 -1.284 3.471
2.567 -6.020 2.047
```

=====

# 9
Diffraction record for Zn2SnS4. The PXRD pattern is calculated, not measured: it uses a PBE-relaxed structure and Cu Kα, 1.54184 Å.

Largest 12 diffraction maxima, in order of rising 2θ, 5 to 70 degrees two-theta:
| d [Å] | two_theta | intensity |
| --- | --- | --- |
| 5.464 | 16.22 | 24 |
| 3.827 | 23.24 | 27 |
| 3.135 | 28.47 | 100 |
| 2.732 | 32.78 | 7 |
| 2.444 | 36.78 | 10 |
| 2.407 | 37.36 | 10 |
| 2.224 | 40.57 | 14 |
| 1.932 | 47.04 | 21 |
| 1.914 | 47.52 | 41 |
| 1.645 | 55.91 | 28 |
| 1.622 | 56.75 | 14 |
| 1.366 | 68.72 | 6 |

Structural model:
```
Zn2SnS4
1.0
5.464 0.000 0.000
0.000 5.464 0.000
0.000 0.000 5.362
Zn Sn S
2 1 4
Cartesian
0.000 2.732 0.000
2.732 0.000 0.000
0.000 0.000 2.681
1.452 1.452 3.998
1.452 4.012 1.364
4.012 1.452 1.364
4.012 4.012 3.998
```

=====

# 10
Diffraction record for Tb2Nd3Ho2. The PXRD pattern is calculated, not measured: it uses a PBE-relaxed structure and Cu Kα, 1.54184 Å.

Largest 12 diffraction maxima, in order of rising 2θ, 5 to 70 degrees two-theta:
| d [Å] | two_theta | intensity |
| --- | --- | --- |
| 3.262 | 27.34 | 46 |
| 3.006 | 29.72 | 66 |
| 2.907 | 30.76 | 36 |
| 2.896 | 30.88 | 99 |
| 2.885 | 31.00 | 92 |
| 2.819 | 31.74 | 79 |
| 2.685 | 33.37 | 100 |
| 2.494 | 36.01 | 53 |
| 1.762 | 51.88 | 24 |
| 1.735 | 52.78 | 34 |
| 1.505 | 61.64 | 54 |
| 1.494 | 62.11 | 25 |

Structural model:
```
Tb2Nd3Ho2
1.0
8.800 -1.762 0.000
8.800 1.762 0.000
-4.153 0.000 7.548
Tb Nd Ho
2 3 2
Cartesian
1.199 0.000 2.432
12.247 0.000 5.116
-2.076 0.000 3.774
0.424 0.000 6.045
13.022 0.000 1.503
7.290 0.000 0.690
6.156 0.000 6.858
```

=====

# 11
Diffraction record for PaTc4P4. The PXRD pattern is calculated, not measured: it uses a PBE-relaxed structure and Cu Kα, 1.54184 Å.

Largest 12 diffraction maxima, in order of rising 2θ, 5 to 70 degrees two-theta:
| d [Å] | two_theta | intensity |
| --- | --- | --- |
| 3.266 | 27.31 | 15 |
| 2.987 | 29.91 | 13 |
| 2.866 | 31.21 | 25 |
| 2.790 | 32.08 | 12 |
| 2.528 | 35.51 | 100 |
| 2.384 | 37.73 | 38 |
| 2.372 | 37.94 | 12 |
| 1.961 | 46.29 | 14 |
| 1.621 | 56.80 | 17 |
| 1.581 | 58.37 | 18 |
| 1.494 | 62.15 | 14 |
| 1.433 | 65.10 | 21 |

Structural model:
```
PaTc4P4
1.0
5.974 0.000 0.000
0.000 5.974 0.000
0.000 0.000 7.801
Pa Tc P
2 8 8
Cartesian
1.494 4.481 1.950
4.481 1.494 5.851
0.097 1.494 0.992
1.494 0.097 4.892
1.494 2.891 4.892
2.891 1.494 0.992
3.084 4.481 6.809
4.481 3.084 2.909
4.481 5.878 2.909
5.878 4.481 6.809
0.261 1.494 3.343
1.494 0.261 7.244
1.494 2.727 7.244
2.727 1.494 3.343
3.248 4.481 4.458
4.481 3.248 0.557
4.481 5.714 0.557
5.714 4.481 4.458
```

=====

# 12
Diffraction record for SmTmSc5. The PXRD pattern is calculated, not measured: it uses a PBE-relaxed structure and Cu Kα, 1.54184 Å.

Largest 12 diffraction maxima, in order of rising 2θ, 5 to 70 degrees two-theta:
| d [Å] | two_theta | intensity |
| --- | --- | --- |
| 4.238 | 20.96 | 89 |
| 3.814 | 23.32 | 8 |
| 3.604 | 24.70 | 13 |
| 2.620 | 34.23 | 100 |
| 2.549 | 35.21 | 49 |
| 2.276 | 39.60 | 19 |
| 2.184 | 41.34 | 31 |
| 1.907 | 47.69 | 9 |
| 1.802 | 50.66 | 18 |
| 1.697 | 54.02 | 15 |
| 1.527 | 60.65 | 17 |
| 1.485 | 62.56 | 33 |

Structural model:
```
SmTmSc5
1.0
5.097 0.000 0.000
0.000 5.097 0.000
0.000 0.000 7.628
Sm Tm Sc
1 1 5
Cartesian
0.000 0.000 0.000
2.549 2.549 3.814
0.000 2.549 2.103
0.000 2.549 5.525
2.549 0.000 2.103
2.549 0.000 5.525
2.549 2.549 0.000
```

=====

# 13
Diffraction record for Na2AcPd. The PXRD pattern is calculated, not measured: it uses a PBE-relaxed structure and Cu Kα, 1.54184 Å.

Largest 12 diffraction maxima, in order of rising 2θ, 5 to 70 degrees two-theta:
| d [Å] | two_theta | intensity |
| --- | --- | --- |
| 11.517 | 7.68 | 34 |
| 5.759 | 15.39 | 100 |
| 3.058 | 29.21 | 17 |
| 3.023 | 29.55 | 83 |
| 2.893 | 30.91 | 52 |
| 2.879 | 31.06 | 21 |
| 2.502 | 35.89 | 56 |
| 2.295 | 39.26 | 47 |
| 1.923 | 47.26 | 16 |
| 1.772 | 51.57 | 22 |
| 1.694 | 54.14 | 27 |
| 1.510 | 61.40 | 26 |

Structural model:
```
Na2AcPd
1.0
1.772 1.023 11.517
-1.772 1.023 11.517
0.000 -2.047 11.517
Na Ac Pd
2 1 1
Cartesian
0.000 0.000 3.701
0.000 0.000 30.850
0.000 0.000 0.000
0.000 0.000 17.276
```